(1)
The following is a computed powder XRD pattern of La2NiHgN. It was derived from DFT lattice parameters and positions (GGA-PBE), using Cu Kα (weighted mean of Kα1 and Kα2).
Intensities are scaled so that the largest is 100.

Structural model:
Unit cell a=7.2800 b=3.9270 c=8.6223 alpha=90.00 beta=114.44 gamma=90.00
Fractional positions:
La: 0.1718 0.2500 0.3873
La: 0.2225 0.7500 0.0161
La: 0.7775 0.2500 0.9839
La: 0.8282 0.7500 0.6127
Ni: 0.1866 0.2500 0.7437
Ni: 0.8134 0.7500 0.2563
Hg: 0.4195 0.7500 0.7164
Hg: 0.5805 0.2500 0.2836
N: 0.0263 0.7500 0.1816
N: 0.9737 0.2500 0.8184

Principal peaks in the range 10 to 90 degrees two-theta, in order of rising 2θ:
2θ 25.36, rel. 36; 2θ 27.10, rel. 56; 2θ 30.94, rel. 100; 2θ 32.25, rel. 34; 2θ 33.57, rel. 37; 2θ 34.27, rel. 23; 2θ 35.44, rel. 33; 2θ 35.60, rel. 31; 2θ 38.83, rel. 36; 2θ 46.24, rel. 34


(2)
The following is a computed powder XRD pattern of La4Pr3Hg3N2. It was derived from DFT lattice parameters and positions (GGA-PBE), using Cu Kα (weighted mean of Kα1 and Kα2).
Intensities are scaled so that the largest is 100.

Structural model:
Unit cell a=13.0776 b=13.0776 c=13.0776 alpha=157.27 beta=157.20 gamma=32.42
Fractional positions:
La: 0.0962 0.0962 0.0000
La: 0.1989 0.6989 0.5000
La: 0.8011 0.3011 0.5000
La: 0.9038 0.9038 0.0000
Pr: 0.0000 0.5000 0.5000
Pr: 0.4040 0.4040 0.0000
Pr: 0.5960 0.5960 0.0000
Hg: 0.3254 0.8254 0.5000
Hg: 0.5000 0.0000 0.5000
Hg: 0.6746 0.1746 0.5000
N: 0.1034 0.6034 0.5000
N: 0.8966 0.3966 0.5000

Principal peaks in the range 10 to 90 degrees two-theta, in order of rising 2θ:
2θ 24.38, rel. 15; 2θ 28.28, rel. 40; 2θ 32.55, rel. 100; 2θ 34.70, rel. 32; 2θ 34.81, rel. 32; 2θ 35.75, rel. 16; 2θ 49.97, rel. 23; 2θ 50.72, rel. 23; 2θ 60.84, rel. 17; 2θ 60.99, rel. 17


(3)
The following is a computed powder XRD pattern of La6TcHg2N. It was derived from DFT lattice parameters and positions (GGA-PBE), using Cu Kα (weighted mean of Kα1 and Kα2).
Intensities are scaled so that the largest is 100.

Structural model:
Unit cell a=7.3109 b=7.3365 c=7.5647 alpha=61.06 beta=61.15 gamma=61.93
Fractional positions:
La: 0.0000 0.0000 0.0000
La: 0.0393 0.5347 0.8656
La: 0.0961 0.1067 0.3871
La: 0.5095 0.4856 0.0007
La: 0.5694 0.0552 0.5126
La: 0.6099 0.5868 0.3877
Tc: 0.3246 0.8148 0.7233
Hg: 0.0758 0.5668 0.4165
Hg: 0.5372 0.0280 0.9675
N: 0.8082 0.3004 0.2053

Principal peaks in the range 10 to 90 degrees two-theta, in order of rising 2θ:
2θ 28.57, rel. 40; 2θ 28.89, rel. 36; 2θ 29.29, rel. 100; 2θ 29.90, rel. 37; 2θ 33.54, rel. 50; 2θ 33.64, rel. 48; 2θ 34.58, rel. 26; 2θ 36.83, rel. 23; 2θ 48.13, rel. 25; 2θ 48.31, rel. 23


(4)
The following is a computed powder XRD pattern of NaLaHg17. It was derived from DFT lattice parameters and positions (GGA-PBE), using Cu Kα (weighted mean of Kα1 and Kα2).
Intensities are scaled so that the largest is 100.

Structural model:
Unit cell a=8.6337 b=8.6337 c=8.6337 alpha=66.89 beta=66.89 gamma=66.89
Fractional positions:
Na: 0.0000 0.0000 0.0000
La: 0.5482 0.5482 0.5482
Hg: 0.1019 0.6894 0.6894
Hg: 0.1803 0.1803 0.1803
Hg: 0.2729 0.2729 0.7765
Hg: 0.2729 0.7765 0.2729
Hg: 0.2771 0.5864 0.9710
Hg: 0.2771 0.9710 0.5864
Hg: 0.3689 0.3689 0.3689
Hg: 0.4766 0.8497 0.8497
Hg: 0.5864 0.2771 0.9710
Hg: 0.5864 0.9710 0.2771
Hg: 0.6894 0.1019 0.6894
Hg: 0.6894 0.6894 0.1019
Hg: 0.7765 0.2729 0.2729
Hg: 0.8497 0.4766 0.8497
Hg: 0.8497 0.8497 0.4766
Hg: 0.9710 0.2771 0.5864
Hg: 0.9710 0.5864 0.2771

Principal peaks in the range 10 to 90 degrees two-theta, in order of rising 2θ:
2θ 29.01, rel. 17; 2θ 30.05, rel. 38; 2θ 31.18, rel. 100; 2θ 32.83, rel. 53; 2θ 35.34, rel. 95; 2θ 37.81, rel. 18; 2θ 40.25, rel. 50; 2θ 42.67, rel. 20; 2θ 58.31, rel. 22; 2θ 65.59, rel. 22


(5)
The following is a computed powder XRD pattern of NaLaHg4. It was derived from DFT lattice parameters and positions (GGA-PBE), using Cu Kα (weighted mean of Kα1 and Kα2).
Intensities are scaled so that the largest is 100.

Structural model:
Unit cell a=6.1723 b=6.1723 c=5.1676 alpha=114.64 beta=114.64 gamma=86.89
Fractional positions:
Na: 0.0000 0.0000 0.0000
La: 0.4988 0.5012 0.5000
Hg: 0.1002 0.4439 0.7721
Hg: 0.4444 0.1025 0.7735
Hg: 0.5561 0.8998 0.2279
Hg: 0.8975 0.5556 0.2265

Principal peaks in the range 10 to 90 degrees two-theta, in order of rising 2θ:
2θ 15.97, rel. 22; 2θ 20.12, rel. 21; 2θ 24.26, rel. 54; 2θ 31.71, rel. 85; 2θ 32.25, rel. 50; 2θ 34.72, rel. 56; 2θ 36.19, rel. 100; 2θ 44.05, rel. 47; 2θ 49.67, rel. 25; 2θ 62.96, rel. 33


(6)
The following is a computed powder XRD pattern of NaLaHg3. It was derived from DFT lattice parameters and positions (GGA-PBE), using Cu Kα (weighted mean of Kα1 and Kα2).
Intensities are scaled so that the largest is 100.

Structural model:
Unit cell a=15.1139 b=15.1139 c=5.0529 alpha=90.00 beta=90.00 gamma=166.56
Fractional positions:
Na: 0.2150 0.7850 0.7500
Na: 0.7850 0.2150 0.2500
La: 0.0745 0.9255 0.2500
La: 0.9255 0.0745 0.7500
Hg: 0.3204 0.6796 0.7500
Hg: 0.3749 0.6251 0.2500
Hg: 0.4751 0.5249 0.2500
Hg: 0.5249 0.4751 0.7500
Hg: 0.6251 0.3749 0.7500
Hg: 0.6796 0.3204 0.2500

Principal peaks in the range 10 to 90 degrees two-theta, in order of rising 2θ:
2θ 25.36, rel. 35; 2θ 32.16, rel. 82; 2θ 32.82, rel. 31; 2θ 34.76, rel. 100; 2θ 35.53, rel. 49; 2θ 41.27, rel. 30; 2θ 49.15, rel. 20; 2θ 63.31, rel. 18; 2θ 63.80, rel. 35; 2θ 64.30, rel. 18